The following is a theoretical X-ray powder pattern of Tl2FeRhO6. It was derived from a crystal structure in Alexandria, relaxed with PBE+U, using Cu Kα (weighted mean of Kα1 and Kα2).
Intensities are scaled so that the largest is 100.

Largest 10 diffraction maxima, in order of rising 2θ, 2θ from 15° to 90°:
- 22.56 deg, rel. 41.8
- 31.99 deg, rel. 100.0
- 32.25 deg, rel. 94.1
- 39.72 deg, rel. 16.1
- 46.06 deg, rel. 45.2
- 51.71 deg, rel. 16.3
- 56.86 deg, rel. 17.5
- 57.34 deg, rel. 40.9
- 57.50 deg, rel. 25.2
- 76.64 deg, rel. 15.8

Structure:
a b c (Å): 5.5952 5.5952 5.5952
angles (deg): 59.49 59.49 59.49
Fractional coordinates of all 10 atoms:
Tl1 0.0000 0.0000 0.0000
Tl2 0.4933 0.4933 0.4933
Fe1 0.2306 0.2306 0.2306
Rh1 0.7254 0.7254 0.7254
O1 0.0794 0.4581 0.8694
O2 0.3702 0.9567 0.5808
O3 0.4581 0.8694 0.0794
O4 0.5808 0.3702 0.9567
O5 0.8694 0.0794 0.4581
O6 0.9567 0.5808 0.3702